Calculated powder XRD pattern
Compound: Sb4O9
Radiation: Cu Kα, 1.54184 Å
Structure: the PBE geometry in the Materials Project
Kinematic intensities with the Lorentz-polarization factor, no thermal factor.

Most intense lines, 2θ = 10–90°, low angle first:
hkl	2θ (°)	intensity
0 1 0	22.9	100.0
1 0 -3	28.1	39.6
3 0 1	28.5	45.0
1 1 -3	36.6	32.7
3 1 1	36.8	32.6
2 0 4	40.4	23.4
4 0 -2	40.5	23.6
0 2 0	46.7	26.2
3 2 1	55.6	22.6
4 2 -2	63.5	22.5

Structure:
```
Sb4O9
1.0
9.9085 0.0000 0.0000
0.0000 3.8878 0.0000
-0.0607 0.0000 10.0395
Sb O
8 18
Direct
0.0279 0.0000 0.3381
0.1650 0.0000 0.0267
0.3398 0.0000 0.4894
0.4638 0.0000 0.1571
0.5362 0.0000 0.8429
0.6602 0.0000 0.5106
0.8350 0.0000 0.9733
0.9721 0.0000 0.6619
0.0225 0.0000 0.8704
0.0346 0.5000 0.3195
0.1296 0.0000 0.5305
0.1724 0.5000 0.0049
0.2560 0.0000 0.2120
0.3240 0.5000 0.4703
0.3733 0.0000 0.9693
0.4808 0.0000 0.6365
0.4900 0.5000 0.1722
0.5100 0.5000 0.8278
0.5192 0.0000 0.3635
0.6267 0.0000 0.0307
0.6760 0.5000 0.5297
0.7440 0.0000 0.7880
0.8276 0.5000 0.9951
0.8704 0.0000 0.4695
0.9654 0.5000 0.6805
0.9775 0.0000 0.1296
```